(1)
# SmSb2S4
Simulated PXRD pattern, copper Kα. Input: a structure optimized by DFT (GGA-PBE).
Kinematic intensities with the Lorentz-polarization factor, no thermal factor.

Peak list (8 most intense, 5° ≤ 2θ ≤ 70°, sorted by position)
| 2θ (°) | I_rel | h k l |
| --- | --- | --- |
| 23.48 | 30 | 1 1 1 |
| 24.96 | 100 | 0 2 3 |
| 26.38 | 40 | 1 1 2 |
| 30.85 | 52 | 1 3 1 |
| 33.16 | 69 | 1 3 2 |
| 41.71 | 42 | 1 1 5 |
| 43.97 | 32 | 1 5 2 |
| 50.71 | 30 | 2 2 3 |

Structure:
```
data_SmSb2S4
_chemical_formula_sum 'Sm4 Sb8 S16'
_cell_length_a 4.170
_cell_length_b 12.726
_cell_length_c 12.928
_cell_angle_alpha 90.00
_cell_angle_beta 90.00
_cell_angle_gamma 90.00
_space_group_name_H-M_alt 'C m c m'
_space_group_IT_number 63
_space_group_name_Hall '-C 2c 2'
loop_
_atom_site_label
_atom_site_fract_x
_atom_site_fract_y
_atom_site_fract_z
Sm1 0.000 0.123 0.250
Sb1 0.000 0.376 0.060
S1 0.000 0.000 0.000
S2 0.000 0.275 0.621
S3 0.000 0.477 0.250
```

---

(2)
# Ba4Cu3BrO6
Simulated PXRD pattern, copper Kα. Input: a structure optimized by DFT (GGA-PBE).
Kinematic intensities with the Lorentz-polarization factor, no thermal factor.

Peak list (8 most intense, 5° ≤ 2θ ≤ 70°, sorted by position)
| 2θ (°) | I_rel | h k l |
| --- | --- | --- |
| 22.25 | 8 | 2 0 0 |
| 27.34 | 1 | 2 1 1 |
| 31.67 | 100 | 2 2 0 |
| 39.05 | 7 | 2 2 2 |
| 45.40 | 24 | 4 0 0 |
| 51.12 | 4 | 4 2 0 |
| 56.41 | 38 | 4 2 2 |
| 66.15 | 15 | 4 4 0 |

Structure:
```
data_Ba4Cu3BrO6
_chemical_formula_sum 'Ba8 Cu6 Br2 O12'
_cell_length_a 7.991
_cell_length_b 7.991
_cell_length_c 7.991
_cell_angle_alpha 90.00
_cell_angle_beta 90.00
_cell_angle_gamma 90.00
_space_group_name_H-M_alt 'I m -3 m'
_space_group_IT_number 229
_space_group_name_Hall '-I 4 2 3'
loop_
_atom_site_label
_atom_site_fract_x
_atom_site_fract_y
_atom_site_fract_z
Ba1 0.250 0.250 0.250
Cu1 0.000 0.000 0.500
Br1 0.000 0.000 0.000
O1 0.000 0.250 0.500
```

---

(3)
# K2SmCu3F12
Simulated PXRD pattern, copper Kα. Input: a structure optimized by DFT (GGA-PBE).
Kinematic intensities with the Lorentz-polarization factor, no thermal factor.

Peak list (8 most intense, 5° ≤ 2θ ≤ 70°, sorted by position)
| 2θ (°) | I_rel | h k l |
| --- | --- | --- |
| 14.59 | 100 | 1 0 1 |
| 27.74 | 16 | 0 2 1 |
| 28.95 | 60 | 1 1 3 |
| 29.43 | 43 | 2 0 2 |
| 31.25 | 20 | 0 1 5 |
| 44.79 | 24 | 0 3 3 |
| 47.98 | 38 | 2 2 0 |
| 53.93 | 16 | 2 0 8 |

Structure:
```
data_K2SmCu3F12
_chemical_formula_sum 'K6 Sm3 Cu9 F36'
_cell_length_a 7.5845
_cell_length_b 7.5845
_cell_length_c 15.8975
_cell_angle_alpha 90.00
_cell_angle_beta 90.00
_cell_angle_gamma 120.00
_space_group_name_H-M_alt 'R -3 m'
_space_group_IT_number 166
_space_group_name_Hall '-R 3 2"'
loop_
_atom_site_label
_atom_site_fract_x
_atom_site_fract_y
_atom_site_fract_z
K1 0.0000 0.0000 0.1135
Sm1 0.0000 0.0000 0.5000
Cu1 0.0000 0.5000 0.0000
F1 0.0174 0.5087 0.8789
F2 0.0878 0.5439 0.3100
```

---

Q: What is the formula in the third record?
A: K2SmCu3F12